This entry pairs a crystal structure of Pa2Si3Tc5 with its computed XRD peak list. Radiation: Cu Kα. Structure: the GGA-PBE geometry in Alexandria.
Intensities are scaled so that the largest is 100.

Most intense lines, 2θ = 15–90°, sorted by position:
| 2θ (°) | I (rel.) |
| --- | --- |
| 35.9 | 51 |
| 36.0 | 30 |
| 37.5 | 100 |
| 38.7 | 57 |
| 42.8 | 35 |
| 70.3 | 22 |

Structure:
a = 12.725 Å, b = 12.725 Å, c = 6.213 Å
α = 90.00°, β = 90.00°, γ = 160.88°
Fractional positions:
Pa: 0.010 0.990 0.500
Pa: 0.321 0.679 0.517
Pa: 0.679 0.321 0.017
Pa: 0.990 0.010 0.000
Si: 0.111 0.889 0.266
Si: 0.275 0.725 0.020
Si: 0.444 0.556 0.279
Si: 0.556 0.444 0.779
Si: 0.725 0.275 0.520
Si: 0.889 0.111 0.766
Tc: 0.102 0.898 0.857
Tc: 0.204 0.796 0.739
Tc: 0.207 0.793 0.309
Tc: 0.372 0.628 0.999
Tc: 0.445 0.555 0.690
Tc: 0.555 0.445 0.190
Tc: 0.628 0.372 0.499
Tc: 0.793 0.207 0.809
Tc: 0.796 0.204 0.239
Tc: 0.898 0.102 0.357